Entry 1:
This entry pairs a crystal structure of Hf2Cd2Ni with its simulated powder X-ray diffraction pattern. Radiation: Cu Kα. Structure: a GGA-PBE-relaxed structure.
Kinematic intensities with the Lorentz-polarization factor, no thermal factor.

The 10 most intense peaks (2θ from 10° to 90°), sorted by position:
2θ (°)  Rel. int.
18.5  8.5
26.3  7.7
33.5  11.5
36.1  100.0
41.6  18.3
42.1  23.1
60.1  13.8
60.7  15.3
72.3  12.9
79.2  12.1

Structural model:
```
data_Hf2Cd2Ni
_chemical_formula_sum 'Hf4 Cd4 Ni2'
_symmetry_space_group_name_H-M 'P 4/m b m'
_symmetry_Int_Tables_number 127
_symmetry_space_group_name_Hall '-P 4 2ab'
_cell_length_a 6.784
_cell_length_b 6.784
_cell_length_c 4.342
_cell_angle_alpha 90.00
_cell_angle_beta 90.00
_cell_angle_gamma 90.00
loop_
_atom_site_label
_atom_site_type_symbol
_atom_site_fract_x
_atom_site_fract_y
_atom_site_fract_z
_atom_site_occupancy
Hf1 Hf 0.167 0.333 0.000 1
Cd1 Cd 0.143 0.643 0.500 1
Ni1 Ni 0.000 0.000 0.500 1
```

***

Entry 2:
This entry pairs a crystal structure of HfNpCdO6 with its simulated powder X-ray diffraction pattern. Radiation: Cu Kα. Structure: a GGA-PBE-relaxed structure.
Kinematic intensities with the Lorentz-polarization factor, no thermal factor.

The 10 most intense peaks (2θ from 10° to 90°), sorted by position:
2θ (°)  Rel. int.
18.7  34.5
26.3  100.0
32.0  65.3
37.3  34.3
41.9  28.2
50.4  52.8
53.7  27.8
57.1  20.4
70.5  12.9
79.6  13.4

Structural model:
```
data_HfNpCdO6
_chemical_formula_sum 'Hf2 Np2 Cd2 O12'
_symmetry_space_group_name_H-M 'P -3 1 c'
_symmetry_Int_Tables_number 163
_symmetry_space_group_name_Hall '-P 3 2c'
_cell_length_a 5.5885
_cell_length_b 5.5885
_cell_length_c 9.5141
_cell_angle_alpha 90.00
_cell_angle_beta 90.00
_cell_angle_gamma 120.00
loop_
_atom_site_label
_atom_site_type_symbol
_atom_site_fract_x
_atom_site_fract_y
_atom_site_fract_z
_atom_site_occupancy
Hf1 Hf 0.3333 0.6667 0.2500 1
Np1 Np 0.3333 0.6667 0.7500 1
Cd1 Cd 0.0000 0.0000 0.0000 1
O1 O 0.0021 0.3605 0.6380 1
```

***

Entry 3:
This entry pairs a crystal structure of HfCd2PbO6 with its simulated powder X-ray diffraction pattern. Radiation: Cu Kα. Structure: a GGA-PBE-relaxed structure.
Kinematic intensities with the Lorentz-polarization factor, no thermal factor.

The 10 most intense peaks (2θ from 10° to 90°), sorted by position:
2θ (°)  Rel. int.
21.7  27.3
30.3  100.0
31.5  91.1
44.3  42.3
49.1  21.7
53.1  15.8
55.4  39.3
56.1  24.8
72.2  12.5
74.1  15.0

Structural model:
```
data_HfCd2PbO6
_chemical_formula_sum 'Hf3 Cd6 Pb3 O18'
_symmetry_space_group_name_H-M 'R 3'
_symmetry_Int_Tables_number 146
_symmetry_space_group_name_Hall 'R 3'
_cell_length_a 5.6773
_cell_length_b 5.6773
_cell_length_c 14.7294
_cell_angle_alpha 90.00
_cell_angle_beta 90.00
_cell_angle_gamma 120.00
loop_
_atom_site_label
_atom_site_type_symbol
_atom_site_fract_x
_atom_site_fract_y
_atom_site_fract_z
_atom_site_occupancy
Hf1 Hf 0.0000 0.0000 0.0000 1
Cd1 Cd 0.0000 0.0000 0.2753 1
Cd2 Cd 0.0000 0.0000 0.7773 1
Pb1 Pb 0.0000 0.0000 0.5000 1
O1 O 0.0534 0.7148 0.0695 1
O2 O 0.0632 0.3602 0.5729 1
```

***

Entry 4:
This entry pairs a crystal structure of HfVCdOs2 with its simulated powder X-ray diffraction pattern. Radiation: Cu Kα. Structure: a GGA-PBE-relaxed structure.
Kinematic intensities with the Lorentz-polarization factor, no thermal factor.

The 10 most intense peaks (2θ from 10° to 90°), sorted by position:
2θ (°)  Rel. int.
18.5  5.2
27.2  5.8
33.8  100.0
37.4  25.7
40.1  42.5
56.0  31.9
58.0  14.4
65.2  15.7
68.8  26.0
71.1  15.6

Structural model:
```
data_HfVCdOs2
_chemical_formula_sum 'Hf1 V1 Cd1 Os2'
_symmetry_space_group_name_H-M 'P 4/m m m'
_symmetry_Int_Tables_number 123
_symmetry_space_group_name_Hall '-P 4 2'
_cell_length_a 4.499
_cell_length_b 4.499
_cell_length_c 4.804
_cell_angle_alpha 90.00
_cell_angle_beta 90.00
_cell_angle_gamma 90.00
loop_
_atom_site_label
_atom_site_type_symbol
_atom_site_fract_x
_atom_site_fract_y
_atom_site_fract_z
_atom_site_occupancy
Hf1 Hf 0.000 0.000 0.000 1
V1 V 0.500 0.500 0.500 1
Cd1 Cd 0.500 0.500 0.000 1
Os1 Os 0.000 0.500 0.500 1
```

***

Entry 5:
This entry pairs a crystal structure of HfZrCdPd with its simulated powder X-ray diffraction pattern. Radiation: Cu Kα. Structure: a GGA-PBE-relaxed structure.
Kinematic intensities with the Lorentz-polarization factor, no thermal factor.

The 10 most intense peaks (2θ from 10° to 90°), sorted by position:
2θ (°)  Rel. int.
12.2  13.7
36.6  100.0
38.1  48.7
46.5  7.4
50.5  7.6
55.0  16.6
65.0  14.0
67.9  31.9
77.9  8.3
81.5  5.2

Structural model:
```
data_HfZrCdPd
_chemical_formula_sum 'Hf1 Zr1 Cd1 Pd1'
_symmetry_space_group_name_H-M 'P 4 m m'
_symmetry_Int_Tables_number 99
_cell_length_a 3.340
_cell_length_b 3.340
_cell_length_c 7.232
_cell_angle_alpha 90.00
_cell_angle_beta 90.00
_cell_angle_gamma 90.00
loop_
_symmetry_equiv_pos_as_xyz
'x,y,z'
'-y,x,z'
'-x,-y,z'
'y,-x,z'
'-x,y,z'
'y,x,z'
'x,-y,z'
'-y,-x,z'
loop_
_atom_site_label
_atom_site_type_symbol
_atom_site_fract_x
_atom_site_fract_y
_atom_site_fract_z
_atom_site_occupancy
Hf1 Hf 0.000 0.000 0.000 1
Zr1 Zr 0.500 0.500 0.721 1
Cd1 Cd 0.000 0.000 0.443 1
Pd1 Pd 0.500 0.500 0.208 1
```

***

Entry 6:
This entry pairs a crystal structure of PmHfCd with its simulated powder X-ray diffraction pattern. Radiation: Cu Kα. Structure: a GGA-PBE-relaxed structure.
Kinematic intensities with the Lorentz-polarization factor, no thermal factor.

The 10 most intense peaks (2θ from 10° to 90°), sorted by position:
2θ (°)  Rel. int.
13.3  4.6
33.2  100.0
37.4  37.2
40.7  13.1
54.0  12.9
56.5  20.1
64.9  28.6
69.4  9.4
69.8  10.6
89.3  6.3

Structural model:
```
data_PmHfCd
_chemical_formula_sum 'Pm2 Hf2 Cd2'
_symmetry_space_group_name_H-M 'I 4 m m'
_symmetry_Int_Tables_number 107
_symmetry_space_group_name_Hall 'I 4 -2'
_cell_length_a 3.398
_cell_length_b 3.398
_cell_length_c 13.289
_cell_angle_alpha 90.00
_cell_angle_beta 90.00
_cell_angle_gamma 90.00
loop_
_atom_site_label
_atom_site_type_symbol
_atom_site_fract_x
_atom_site_fract_y
_atom_site_fract_z
_atom_site_occupancy
Pm1 Pm 0.000 0.000 0.000 1
Hf1 Hf 0.000 0.000 0.326 1
Cd1 Cd 0.000 0.000 0.682 1
```

***

Entry 7:
This entry pairs a crystal structure of Rb2HfCdS4 with its simulated powder X-ray diffraction pattern. Radiation: Cu Kα. Structure: a GGA-PBE-relaxed structure.
Kinematic intensities with the Lorentz-polarization factor, no thermal factor.

The 10 most intense peaks (2θ from 10° to 90°), sorted by position:
2θ (°)  Rel. int.
15.1  24.9
24.2  33.2
25.2  100.0
34.4  25.5
43.2  44.8
45.0  27.4
51.7  10.6
55.8  11.3
56.3  9.9
67.7  11.4

Structural model:
```
data_Rb2HfCdS4
_chemical_formula_sum 'Rb4 Hf2 Cd2 S8'
_symmetry_space_group_name_H-M 'I -4'
_symmetry_Int_Tables_number 82
_cell_length_a 7.365
_cell_length_b 7.365
_cell_length_c 9.626
_cell_angle_alpha 90.00
_cell_angle_beta 90.00
_cell_angle_gamma 90.00
loop_
_symmetry_equiv_pos_as_xyz
'x,y,z'
'y,-x,-z'
'-x,-y,z'
'-y,x,-z'
'x+1/2,y+1/2,z+1/2'
'y+1/2,-x+1/2,-z+1/2'
'-x+1/2,-y+1/2,z+1/2'
'-y+1/2,x+1/2,-z+1/2'
loop_
_atom_site_label
_atom_site_type_symbol
_atom_site_fract_x
_atom_site_fract_y
_atom_site_fract_z
_atom_site_occupancy
Rb1 Rb 0.000 0.000 0.000 1
Rb2 Rb 0.000 0.500 0.250 1
Hf1 Hf 0.000 0.500 0.750 1
Cd1 Cd 0.000 0.000 0.500 1
S1 S 0.156 0.269 0.621 1
```

***

Entry 8:
This entry pairs a crystal structure of HfCd2Re with its simulated powder X-ray diffraction pattern. Radiation: Cu Kα. Structure: a GGA-PBE-relaxed structure.
Kinematic intensities with the Lorentz-polarization factor, no thermal factor.

The 8 most intense peaks (2θ from 10° to 90°), sorted by position:
2θ (°)  Rel. int.
26.6  5.9
38.0  100.0
47.0  1.9
54.9  17.1
62.0  2.7
68.7  34.6
81.3  10.9
87.4  1.4

Structural model:
```
data_HfCd2Re
_chemical_formula_sum 'Hf4 Cd8 Re4'
_symmetry_space_group_name_H-M 'F m -3 m'
_symmetry_Int_Tables_number 225
_symmetry_space_group_name_Hall '-F 4 2 3'
_cell_length_a 6.694
_cell_length_b 6.694
_cell_length_c 6.694
_cell_angle_alpha 90.00
_cell_angle_beta 90.00
_cell_angle_gamma 90.00
loop_
_atom_site_label
_atom_site_type_symbol
_atom_site_fract_x
_atom_site_fract_y
_atom_site_fract_z
_atom_site_occupancy
Hf1 Hf 0.000 0.000 0.000 1
Cd1 Cd 0.250 0.250 0.250 1
Re1 Re 0.000 0.000 0.500 1
```

***

Entry 9:
This entry pairs a crystal structure of HfCdRh2 with its simulated powder X-ray diffraction pattern. Radiation: Cu Kα. Structure: a GGA-PBE-relaxed structure.
Kinematic intensities with the Lorentz-polarization factor, no thermal factor.

The 10 most intense peaks (2θ from 10° to 90°), sorted by position:
2θ (°)  Rel. int.
13.9  7.8
27.2  3.2
38.8  53.1
39.5  100.0
56.1  18.0
58.1  8.6
70.8  34.9
72.1  15.9
83.4  5.7
85.1  10.7

Structural model:
```
data_HfCdRh2
_chemical_formula_sum 'Hf1 Cd1 Rh2'
_symmetry_space_group_name_H-M 'P 4/m m m'
_symmetry_Int_Tables_number 123
_symmetry_space_group_name_Hall '-P 4 2'
_cell_length_a 3.279
_cell_length_b 3.279
_cell_length_c 6.350
_cell_angle_alpha 90.00
_cell_angle_beta 90.00
_cell_angle_gamma 90.00
loop_
_atom_site_label
_atom_site_type_symbol
_atom_site_fract_x
_atom_site_fract_y
_atom_site_fract_z
_atom_site_occupancy
Hf1 Hf 0.000 0.000 0.000 1
Cd1 Cd 0.000 0.000 0.500 1
Rh1 Rh 0.500 0.500 0.236 1
```

***

Entry 10:
This entry pairs a crystal structure of HfCd2S4 with its simulated powder X-ray diffraction pattern. Radiation: Cu Kα. Structure: a GGA-PBE-relaxed structure.
Kinematic intensities with the Lorentz-polarization factor, no thermal factor.

The 10 most intense peaks (2θ from 10° to 90°), sorted by position:
2θ (°)  Rel. int.
14.0  27.2
23.0  20.3
26.8  100.0
27.3  50.0
28.2  22.5
32.4  28.5
42.5  37.6
46.5  30.3
47.1  59.1
86.6  18.3

Structural model:
```
data_HfCd2S4
_chemical_formula_sum 'Hf4 Cd8 S16'
_symmetry_space_group_name_H-M 'P 41 2 2'
_symmetry_Int_Tables_number 91
_cell_length_a 7.818
_cell_length_b 7.818
_cell_length_c 10.799
_cell_angle_alpha 90.00
_cell_angle_beta 90.00
_cell_angle_gamma 90.00
loop_
_symmetry_equiv_pos_as_xyz
'x,y,z'
'-y,x,z+1/4'
'-x,-y,z+1/2'
'y,-x,z+3/4'
'x,-y,-z+1/2'
'-y,-x,-z+1/4'
'-x,y,-z'
'y,x,-z+3/4'
loop_
_atom_site_label
_atom_site_type_symbol
_atom_site_fract_x
_atom_site_fract_y
_atom_site_fract_z
_atom_site_occupancy
Hf1 Hf 0.000 0.249 0.000 1
Cd1 Cd 0.253 0.253 0.375 1
Cd2 Cd 0.254 0.500 0.750 1
S1 S 0.014 0.233 0.764 1
S2 S 0.235 0.472 0.999 1
```

***

Entry 11:
This entry pairs a crystal structure of Hf3Cd2S8 with its simulated powder X-ray diffraction pattern. Radiation: Cu Kα. Structure: a GGA-PBE-relaxed structure.
Kinematic intensities with the Lorentz-polarization factor, no thermal factor.

The 10 most intense peaks (2θ from 10° to 90°), sorted by position:
2θ (°)  Rel. int.
14.4  49.0
22.8  61.8
27.5  52.5
27.6  97.3
28.1  24.7
33.2  32.8
33.6  36.5
44.0  24.3
44.2  36.6
47.9  100.0

Structural model:
```
data_Hf3Cd2S8
_chemical_formula_sum 'Hf12 Cd8 S32'
_symmetry_space_group_name_H-M 'C m c e'
_symmetry_Int_Tables_number 64
_symmetry_space_group_name_Hall '-C 2ac 2'
_cell_length_a 7.587
_cell_length_b 15.010
_cell_length_c 10.807
_cell_angle_alpha 90.00
_cell_angle_beta 90.00
_cell_angle_gamma 90.00
loop_
_atom_site_label
_atom_site_type_symbol
_atom_site_fract_x
_atom_site_fract_y
_atom_site_fract_z
_atom_site_occupancy
Hf1 Hf 0.000 0.000 0.000 1
Hf2 Hf 0.250 0.130 0.250 1
Cd1 Cd 0.000 0.135 0.612 1
S1 S 0.000 0.007 0.239 1
S2 S 0.000 0.239 0.272 1
S3 S 0.228 0.122 0.018 1
```

***

Entry 12:
This entry pairs a crystal structure of HfCd3Sb with its simulated powder X-ray diffraction pattern. Radiation: Cu Kα. Structure: a GGA-PBE-relaxed structure.
Kinematic intensities with the Lorentz-polarization factor, no thermal factor.

The 10 most intense peaks (2θ from 10° to 90°), sorted by position:
2θ (°)  Rel. int.
16.1  37.8
22.8  38.8
28.0  40.6
32.4  100.0
36.4  20.5
40.0  18.2
46.5  72.2
57.9  24.7
77.3  31.3
86.4  24.1

Structural model:
```
data_HfCd3Sb
_chemical_formula_sum 'Hf1 Cd3 Sb1'
_symmetry_space_group_name_H-M 'P m -3 m'
_symmetry_Int_Tables_number 221
_symmetry_space_group_name_Hall '-P 4 2 3'
_cell_length_a 5.519
_cell_length_b 5.519
_cell_length_c 5.519
_cell_angle_alpha 90.00
_cell_angle_beta 90.00
_cell_angle_gamma 90.00
loop_
_atom_site_label
_atom_site_type_symbol
_atom_site_fract_x
_atom_site_fract_y
_atom_site_fract_z
_atom_site_occupancy
Hf1 Hf 0.000 0.000 0.000 1
Cd1 Cd 0.000 0.000 0.500 1
Sb1 Sb 0.500 0.500 0.500 1
```